Diffraction record for Pr2SbOF. The X-ray diffraction stick pattern is computed, not measured: it uses DFT lattice parameters and positions (PBE) and copper Kα.
Neutral-atom scattering factors, no anomalous dispersion.

The 6 most intense peaks (2θ = 15–90°), low angle first:
Position (°2θ)  I_rel
30.1  1000
31.2  417
44.7  220
52.7  176
54.8  366
88.4  80

Cell and atoms:
```
Pr2SbOF
1.0
-2.028 2.028 6.544
2.028 -2.028 6.544
2.028 2.028 -6.544
Pr Sb O F
2 1 1 1
Direct
0.146 0.146 0.000
0.854 0.854 0.000
0.500 0.500 0.000
0.750 0.250 0.500
0.250 0.750 0.500
```

Diffraction record for PuSbTe. The X-ray diffraction stick pattern is computed, not measured: it uses DFT lattice parameters and positions (PBE) and copper Kα.
Neutral-atom scattering factors, no anomalous dispersion.

The 6 most intense peaks (2θ = 15–90°), low angle first:
Position (°2θ)  I_rel
29.1  366
30.8  671
32.3  376
35.4  1000
41.7  579
60.4  413

Cell and atoms:
```
PuSbTe
1.0
-2.168 2.168 9.015
2.168 -2.168 9.015
2.168 2.168 -9.015
Pu Sb Te
2 2 2
Direct
0.138 0.138 0.000
0.862 0.862 0.000
0.000 0.500 0.500
0.500 0.000 0.500
0.317 0.317 0.000
0.683 0.683 0.000
```

Diffraction record for LiTmZrGa. The X-ray diffraction stick pattern is computed, not measured: it uses DFT lattice parameters and positions (PBE) and copper Kα.
Neutral-atom scattering factors, no anomalous dispersion.

The 6 most intense peaks (2θ = 15–90°), low angle first:
Position (°2θ)  I_rel
22.4  208
25.9  367
37.0  1000
53.3  173
60.2  140
66.6  349

Cell and atoms:
```
LiTmZrGa
1.0
0.000 3.438 3.438
3.438 0.000 3.438
3.438 3.438 0.000
Li Tm Zr Ga
1 1 1 1
Direct
0.000 0.000 0.000
0.750 0.750 0.750
0.250 0.250 0.250
0.500 0.500 0.500
```

Diffraction record for Mg5Sc4. The X-ray diffraction stick pattern is computed, not measured: it uses DFT lattice parameters and positions (PBE) and copper Kα.
Neutral-atom scattering factors, no anomalous dispersion.

The 6 most intense peaks (2θ = 15–90°), low angle first:
Position (°2θ)  I_rel
34.2  1000
39.6  326
39.9  159
57.4  201
68.3  227
68.8  112

Cell and atoms:
```
Mg5Sc4
1.0
-4.834 4.834 2.261
4.834 -4.834 2.261
4.834 4.834 -2.261
Mg Sc
5 4
Direct
0.000 0.000 0.000
0.000 0.336 0.336
0.000 0.664 0.664
0.336 0.000 0.336
0.664 0.000 0.664
0.335 0.335 0.670
0.335 0.665 0.000
0.665 0.335 0.000
0.665 0.665 0.330
```

Diffraction record for Cs2TaOsI6. The X-ray diffraction stick pattern is computed, not measured: it uses DFT lattice parameters and positions (PBE) and copper Kα.
Neutral-atom scattering factors, no anomalous dispersion.

The 6 most intense peaks (2θ = 15–90°), low angle first:
Position (°2θ)  I_rel
15.5  539
22.0  528
27.1  654
31.3  1000
31.5  493
45.0  727

Cell and atoms:
```
Cs2TaOsI6
1.0
-4.040 4.040 5.686
4.040 -4.040 5.686
4.040 4.040 -5.686
Cs Ta Os I
2 1 1 6
Direct
0.250 0.750 0.500
0.750 0.250 0.500
0.000 0.000 0.000
0.500 0.500 0.000
0.254 0.254 0.000
0.254 0.254 0.507
0.254 0.746 0.000
0.746 0.254 0.000
0.746 0.746 0.000
0.746 0.746 0.493
```

Diffraction record for Ag3F4. The X-ray diffraction stick pattern is computed, not measured: it uses DFT lattice parameters and positions (PBE) and copper Kα.
Neutral-atom scattering factors, no anomalous dispersion.

The 6 most intense peaks (2θ = 15–90°), low angle first:
Position (°2θ)  I_rel
28.0  1000
28.9  385
38.2  314
43.1  587
49.3  455
58.1  302

Cell and atoms:
```
Ag3F4
1.0
1.850 1.068 9.273
-1.850 1.068 9.273
0.000 -2.136 9.273
Ag F
3 4
Direct
0.000 0.000 0.000
0.104 0.104 0.104
0.896 0.896 0.896
0.205 0.205 0.205
0.380 0.380 0.380
0.620 0.620 0.620
0.795 0.795 0.795
```

Diffraction record for CeAg3Cl8. The X-ray diffraction stick pattern is computed, not measured: it uses DFT lattice parameters and positions (PBE) and copper Kα.
Neutral-atom scattering factors, no anomalous dispersion.

The 6 most intense peaks (2θ = 15–90°), low angle first:
Position (°2θ)  I_rel
25.8  333
26.4  666
31.3  536
32.4  1000
45.2  373
47.2  316

Cell and atoms:
```
CeAg3Cl8
1.0
6.805 -3.955 0.000
6.805 3.955 0.000
-4.201 0.000 6.474
Ce Ag Cl
1 3 8
Direct
0.000 0.000 0.000
0.000 0.500 0.500
0.500 0.000 0.500
0.500 0.500 0.000
0.230 0.760 0.239
0.235 0.235 0.233
0.240 0.770 0.761
0.278 0.278 0.733
0.722 0.722 0.267
0.760 0.230 0.239
0.765 0.765 0.767
0.770 0.240 0.761
```

Diffraction record for Pt5C4. The X-ray diffraction stick pattern is computed, not measured: it uses DFT lattice parameters and positions (PBE) and copper Kα.
Neutral-atom scattering factors, no anomalous dispersion.

The 6 most intense peaks (2θ = 15–90°), low angle first:
Position (°2θ)  I_rel
30.8  438
32.2  693
39.4  1000
47.6  284
49.5  218
52.2  313

Cell and atoms:
```
Pt5C4
1.0
6.066 0.000 0.000
-3.033 5.253 0.000
0.000 0.000 6.959
Pt C
10 8
Direct
0.000 0.274 0.250
0.000 0.726 0.750
0.274 0.000 0.250
0.274 0.274 0.750
0.333 0.667 0.000
0.333 0.667 0.500
0.667 0.333 0.000
0.667 0.333 0.500
0.726 0.000 0.750
0.726 0.726 0.250
0.000 0.000 0.000
0.000 0.000 0.500
0.000 0.395 0.750
0.000 0.605 0.250
0.395 0.000 0.750
0.395 0.395 0.250
0.605 0.000 0.250
0.605 0.605 0.750
```

Diffraction record for Sr3CdO4. The X-ray diffraction stick pattern is computed, not measured: it uses DFT lattice parameters and positions (PBE) and copper Kα.
Neutral-atom scattering factors, no anomalous dispersion.

The 6 most intense peaks (2θ = 15–90°), low angle first:
Position (°2θ)  I_rel
30.3  960
35.1  1000
50.5  668
60.1  436
63.0  220
84.9  282

Cell and atoms:
```
Sr3CdO4
1.0
5.110 0.000 0.000
0.000 5.110 0.000
0.000 0.000 5.110
Sr Cd O
3 1 4
Direct
0.000 0.000 0.500
0.000 0.500 0.000
0.500 0.000 0.000
0.500 0.500 0.500
0.000 0.000 0.000
0.000 0.500 0.500
0.500 0.000 0.500
0.500 0.500 0.000
```

Diffraction record for Ba3Ac2In3. The X-ray diffraction stick pattern is computed, not measured: it uses DFT lattice parameters and positions (PBE) and copper Kα.
Neutral-atom scattering factors, no anomalous dispersion.

The 6 most intense peaks (2θ = 15–90°), low angle first:
Position (°2θ)  I_rel
27.9  759
30.0  1000
31.7  522
31.8  459
36.9  382
55.4  340

Cell and atoms:
```
Ba3Ac2In3
1.0
9.775 0.000 0.000
-4.888 8.466 0.000
0.000 0.000 3.764
Ba Ac In
3 2 3
Direct
0.000 0.755 0.000
0.245 0.245 0.000
0.755 0.000 0.000
0.333 0.667 0.000
0.667 0.333 0.000
0.000 0.391 0.500
0.391 0.000 0.500
0.609 0.609 0.500
```

Diffraction record for RbClF3. The X-ray diffraction stick pattern is computed, not measured: it uses DFT lattice parameters and positions (PBE) and copper Kα.
Neutral-atom scattering factors, no anomalous dispersion.

The 6 most intense peaks (2θ = 15–90°), low angle first:
Position (°2θ)  I_rel
27.0  1000
33.2  303
38.6  278
47.7  198
55.5  148
63.0  155

Cell and atoms:
```
RbClF3
1.0
-3.300 3.300 4.692
3.300 -3.300 4.692
3.300 3.300 -4.692
Rb Cl F
2 2 6
Direct
0.250 0.750 0.500
0.750 0.250 0.500
0.000 0.000 0.000
0.500 0.500 0.000
0.201 0.201 0.000
0.302 0.302 0.605
0.302 0.698 0.000
0.698 0.302 0.000
0.698 0.698 0.395
0.799 0.799 0.000
```

What is the formula in the sixth record? Ag3F4